HfZr3Ni2: theoretical X-ray powder pattern (Cu Kα (λ = 1.5418 Å)), based on the PBE geometry in OQMD.
Peak positions follow from Bragg's law for the DFT cell and can differ from measured ones.

a b c (Å): 5.2109 9.0105 9.2656
angles (deg): 90.00 90.00 90.00
Space group Fmm2 (No. 42)
Unique sites:
Hf 0.0000 0.0000 0.0000
Zr 0.0000 0.0000 0.6748
Zr 0.0000 0.1630 0.3366
Ni 0.2500 0.2500 0.0850

Principal peaks in the range 2θ from 10° to 90°, by angle:
2θ (°), I/Imax, index
21.91, 16.3, 1 1 1
34.42, 21.0, 2 0 0
35.22, 100.0, 1 1 3
35.84, 79.6, 1 3 1
39.99, 37.3, 2 2 0
43.95, 28.6, 0 2 4
44.70, 71.8, 0 4 2
62.21, 35.5, 3 1 3
68.34, 16.4, 2 4 4
83.41, 17.2, 1 7 3


Hf5O: theoretical X-ray powder pattern (Cu Kα (λ = 1.5418 Å)), based on the PBE geometry in OQMD.
Peak positions follow from Bragg's law for the DFT cell and can differ from measured ones.

a b c (Å): 5.6373 5.6373 5.1496
angles (deg): 90.00 90.00 120.00
Space group P6/mmm (No. 191)
Unique sites:
Hf 0.0000 0.5000 0.0000
Hf 0.3333 0.6667 0.5000
O 0.0000 0.0000 0.5000

Principal peaks in the range 2θ from 10° to 90°, by angle:
2θ (°), I/Imax, index
18.17, 90.6, 1 0 0
34.84, 43.9, 0 0 2
36.34, 86.7, 1 1 1
36.82, 19.2, 2 0 0
39.57, 26.1, 1 0 2
40.91, 100.0, 2 0 1
59.58, 20.7, 3 0 1
66.33, 20.4, 2 2 0
66.60, 24.2, 2 0 3
77.16, 26.6, 2 2 2


Hf4O: theoretical X-ray powder pattern (Cu Kα (λ = 1.5418 Å)), based on the PBE geometry in OQMD.
Peak positions follow from Bragg's law for the DFT cell and can differ from measured ones.

a b c (Å): 10.1559 11.1714 6.4468
angles (deg): 90.00 90.00 90.00
Space group Fdd2 (No. 43)
Unique sites:
Hf 0.1228 0.3330 0.0000
Hf 0.1236 0.3348 0.4954
O 0.0000 0.0000 0.0027

Principal peaks in the range 2θ from 10° to 90°, by angle:
2θ (°), I/Imax, index
32.05, 21.7, 0 4 0
35.35, 23.5, 4 0 0
36.73, 100.0, 2 2 2
48.46, 16.6, 4 4 0
57.14, 19.5, 0 6 2
64.36, 19.7, 6 2 2
69.01, 20.6, 4 6 2
69.87, 15.5, 2 8 0
78.13, 4.0, 4 4 4
83.69, 3.0, 8 4 0


Hf4O5: theoretical X-ray powder pattern (Cu Kα (λ = 1.5418 Å)), based on the PBE geometry in OQMD.
Peak positions follow from Bragg's law for the DFT cell and can differ from measured ones.

a b c (Å): 4.0018 4.0018 7.1257
angles (deg): 90.00 90.00 90.00
Space group P4/mmm (No. 123)
Unique sites:
Hf 0.0000 0.0000 0.0000
Hf 0.0000 0.0000 0.5000
Hf 0.5000 0.5000 0.2153
O 0.0000 0.5000 0.2891
O 0.5000 0.5000 0.5000

Principal peaks in the range 2θ from 10° to 90°, by angle:
2θ (°), I/Imax, index
31.62, 58.7, 1 1 0
33.68, 100.0, 1 0 2
45.32, 31.4, 2 0 0
51.29, 7.0, 0 0 4
57.64, 44.1, 2 1 2
61.51, 13.3, 1 1 4
66.03, 10.0, 2 2 0
70.82, 10.5, 2 0 4
75.06, 10.5, 3 1 0
76.21, 9.8, 3 0 2


HfO4: theoretical X-ray powder pattern (Cu Kα (λ = 1.5418 Å)), based on the PBE geometry in OQMD.
Peak positions follow from Bragg's law for the DFT cell and can differ from measured ones.

a b c (Å): 3.2859 6.8868 6.0936
angles (deg): 90.00 121.36 90.00
Space group P2/c (No. 13)
Unique sites:
Hf 0.0000 0.0798 0.2500
O 0.2572 0.1415 0.0079
O 0.3661 0.4437 0.5114

Principal peaks in the range 2θ from 10° to 90°, by angle:
2θ (°), I/Imax, index
12.85, 100.0, 0 1 0
21.40, 22.6, 0 1 1
25.87, 13.0, 0 2 0
31.15, 28.3, 0 2 1
31.89, 13.3, 1 0 0
32.55, 20.4, 1 0 -2
34.51, 34.2, 1 1 0
35.13, 16.5, 1 1 -2
36.93, 21.1, 0 1 2
43.07, 15.6, 0 3 1


Hf2P2O9: theoretical X-ray powder pattern (Cu Kα (λ = 1.5418 Å)), based on the PBE geometry in OQMD.
Peak positions follow from Bragg's law for the DFT cell and can differ from measured ones.

a b c (Å): 13.5044 6.5971 9.8509
angles (deg): 90.00 131.29 90.00
Space group C2/m (No. 12)
Unique sites:
Hf 0.0573 0.0000 0.4012
Hf 0.1834 0.5000 0.1358
P 0.0908 0.5000 0.3410
P 0.1716 0.0000 0.0502
O 0.0149 0.5000 0.1340
O 0.0318 0.0000 0.8614
O 0.0661 0.3104 0.4011
O 0.1153 0.0000 0.6586
O 0.1872 0.1907 0.1523
O 0.2239 0.5000 0.9695
O 0.2338 0.5000 0.4108

Principal peaks in the range 2θ from 10° to 90°, by angle:
2θ (°), I/Imax, index
16.19, 100.0, 1 1 -1
26.42, 41.3, 4 0 -2
27.06, 94.3, 0 2 0
27.89, 29.1, 2 0 -3
29.68, 16.2, 3 1 0
36.67, 18.0, 5 1 -3
38.15, 16.4, 4 2 -2
38.64, 19.5, 2 2 1
39.44, 23.8, 3 1 -4
42.10, 15.8, 1 3 -1


HfScPO: theoretical X-ray powder pattern (Cu Kα (λ = 1.5418 Å)), based on the PBE geometry in OQMD.
Peak positions follow from Bragg's law for the DFT cell and can differ from measured ones.

a b c (Å): 4.0002 6.8798 4.9139
angles (deg): 90.00 90.00 90.00
Space group Pmc2_1 (No. 26)
Unique sites:
Hf 0.0000 0.2410 0.0000
Sc 0.5000 0.1502 0.5010
P 0.0000 0.3800 0.4999
O 0.5000 0.1596 0.0012

Principal peaks in the range 2θ from 10° to 90°, by angle:
2θ (°), I/Imax, index
22.23, 100.0, 1 0 0
25.90, 47.8, 0 2 0
31.64, 94.3, 1 1 1
34.38, 28.0, 1 2 0
36.57, 36.8, 0 0 2
43.55, 27.3, 0 3 1
45.35, 43.0, 2 0 0
49.42, 30.2, 1 3 1
51.07, 33.3, 1 2 2
75.11, 17.0, 1 3 3


HfTePO: theoretical X-ray powder pattern (Cu Kα (λ = 1.5418 Å)), based on the PBE geometry in OQMD.
Peak positions follow from Bragg's law for the DFT cell and can differ from measured ones.

a b c (Å): 3.8113 7.1358 7.1208
angles (deg): 90.00 90.00 90.00
Space group Pmc2_1 (No. 26)
Unique sites:
Hf 0.0000 0.0687 0.0000
Te 0.5000 0.2709 0.5914
P 0.5000 0.3060 0.9331
O 0.0000 0.0971 0.2719

Principal peaks in the range 2θ from 10° to 90°, by angle:
2θ (°), I/Imax, index
12.40, 100.0, 0 1 0
25.01, 57.4, 0 0 2
26.51, 65.9, 1 1 0
27.99, 54.7, 0 2 1
29.38, 75.1, 1 1 1
34.44, 71.0, 1 2 0
36.76, 56.5, 1 1 2
39.99, 57.3, 0 3 1
43.03, 34.1, 1 2 2
63.97, 28.4, 2 3 1


HfPbO3: theoretical X-ray powder pattern (Cu Kα (λ = 1.5418 Å)), based on the PBE geometry in OQMD.
Peak positions follow from Bragg's law for the DFT cell and can differ from measured ones.

a b c (Å): 5.8306 11.6951 8.1678
angles (deg): 90.00 90.00 90.00
Space group Pba2 (No. 32)
Unique sites:
Hf 0.2443 0.1245 0.0000
Hf 0.2447 0.1245 0.5007
Pb 0.2147 0.3770 0.7492
Pb 0.2178 0.3715 0.2491
O 0.0000 0.0000 0.5241
O 0.0000 0.0000 0.9784
O 0.0000 0.5000 0.5445
O 0.0000 0.5000 0.9584
O 0.0225 0.2584 0.0324
O 0.0256 0.2598 0.4705
O 0.2108 0.5950 0.2508
O 0.2327 0.6559 0.7508

Principal peaks in the range 2θ from 10° to 90°, by angle:
2θ (°), I/Imax, index
30.62, 48.4, 0 4 0
30.79, 100.0, 1 2 2
43.85, 24.1, 2 4 0
44.36, 12.6, 0 0 4
54.49, 21.8, 1 6 2
54.60, 17.2, 3 2 2
54.87, 20.7, 0 4 4
64.15, 14.7, 2 4 4
72.46, 10.7, 3 6 2
89.42, 10.6, 1 6 6


HfPbO3: theoretical X-ray powder pattern (Cu Kα (λ = 1.5418 Å)), based on the PBE geometry in OQMD.
Peak positions follow from Bragg's law for the DFT cell and can differ from measured ones.

a b c (Å): 5.8308 11.7231 8.1913
angles (deg): 90.00 90.00 90.00
Space group Pbam (No. 55)
Unique sites:
Hf 0.2451 0.1246 0.2500
Pb 0.2231 0.3793 0.0000
Pb 0.2252 0.3699 0.5000
O 0.0000 0.0000 0.2198
O 0.0000 0.5000 0.2077
O 0.0154 0.2560 0.2858
O 0.2230 0.5923 0.5000
O 0.2363 0.6574 0.0000

Principal peaks in the range 2θ from 10° to 90°, by angle:
2θ (°), I/Imax, index
30.50, 20.0, 0 4 0
30.72, 100.0, 1 2 2
43.80, 19.9, 2 4 0
44.23, 10.0, 0 0 4
54.35, 17.5, 1 6 2
54.56, 15.0, 3 2 2
54.68, 8.7, 0 4 4
54.78, 8.4, 2 0 4
64.00, 12.1, 2 4 4
72.37, 9.6, 3 6 2


Hf4PbO9: theoretical X-ray powder pattern (Cu Kα (λ = 1.5418 Å)), based on the PBE geometry in OQMD.
Peak positions follow from Bragg's law for the DFT cell and can differ from measured ones.

a b c (Å): 7.8336 11.8186 5.3244
angles (deg): 90.00 118.93 90.00
Space group C2 (No. 5)
Unique sites:
Hf 0.0000 0.0000 0.0000
Hf 0.0000 0.1520 0.5000
Hf 0.2501 0.2614 0.1578
Pb 0.0000 0.4661 0.5000
O 0.0000 0.7347 0.5000
O 0.0590 0.2916 0.2942
O 0.1702 0.0520 0.4118
O 0.1954 0.8861 0.0300
O 0.1965 0.1207 0.9327

Principal peaks in the range 2θ from 10° to 90°, by angle:
2θ (°), I/Imax, index
14.94, 46.4, 1 1 0
18.66, 41.5, 1 1 -1
23.64, 25.4, 2 0 -1
28.43, 100.0, 1 3 -1
28.90, 54.6, 1 1 1
30.14, 56.0, 2 2 0
34.52, 19.3, 2 0 -2
34.99, 19.3, 1 1 -2
35.20, 26.4, 3 1 -1
46.13, 20.7, 3 3 -2